The following is a calculated X-ray powder pattern of CrO3F3. It was derived from the GGA+U geometry in Alexandria, using λ = 1.5418 Å (Cu Kα).

Structure:
a b c (Å): 3.8561 5.5112 6.1084
angles (deg): 100.92 107.96 110.35
Sites, in units of the cell vectors:
Cr 0.0000 0.0000 0.0000
O 0.0250 0.2358 0.8123
O 0.8679 0.6219 0.1166
O 0.9813 0.6268 0.3308
F 0.2667 0.2236 0.3144
F 0.4498 0.9284 0.9701
F 0.7920 0.9678 0.6124

The 12 most intense peaks (10° ≤ 2θ ≤ 90°), in order of rising 2θ:
| (hkl) | 2theta | I/Imax |
| --- | --- | --- |
| 0 0 1 | 16.17 | 100 |
| 0 1 0 | 18.20 | 99 |
| 0 1 -1 | 19.95 | 33 |
| 1 -1 0 | 25.17 | 54 |
| 1 0 0 | 26.99 | 50 |
| -1 1 1 | 27.20 | 48 |
| 0 1 1 | 28.27 | 38 |
| 0 1 -2 | 31.70 | 16 |
| 0 2 -1 | 34.95 | 77 |
| 0 2 -2 | 40.54 | 26 |
| 0 1 2 | 42.91 | 20 |
| -2 1 1 | 47.14 | 34 |